Simulated powder diffraction line list of AgICl for copper Kα, from the GGA-PBE geometry in Alexandria.
Neutral-atom scattering factors, no anomalous dispersion.

Largest 12 diffraction maxima, in order of rising 2θ, 2θ = 15–90°:
| (hkl) | d (Å) | I (rel.) |
| --- | --- | --- |
| 0 0 2 | 4.747 | 100 |
| 1 0 0 | 4.007 | 48 |
| 0 1 2 | 3.666 | 17 |
| 1 0 2 | 3.325 | 40 |
| 1 -1 1 | 3.239 | 14 |
| 1 0 -2 | 2.852 | 24 |
| 0 2 1 | 2.760 | 49 |
| 1 -1 3 | 2.441 | 12 |
| 1 2 1 | 2.322 | 25 |
| 1 2 -1 | 2.227 | 33 |
| 0 2 3 | 2.132 | 26 |
| 1 2 -3 | 1.806 | 19 |

Crystal structure
abc: 4.055 5.769 9.610
angles: 89.92 81.12 89.99
Fractional coordinates of all 6 atoms:
1 Ag 0.000 0.000 0.000
2 Ag 0.213 0.500 0.048
3 I 0.098 0.218 0.554
4 I 0.120 0.718 0.495
5 Cl 0.497 0.791 0.884
6 Cl 0.716 0.290 0.164